(1)
The following is a computed powder X-ray diffraction pattern of Ca2InCl5. It was derived from a DFT-relaxed cell (GGA-PBE, Alexandria), using Cu Kα.
Intensities are scaled so that the largest is 100.

Principal peaks in the range 10° ≤ 2θ ≤ 80°, low angle first:
2θ (°)	I/Imax
18.70	63
21.86	85
23.65	64
27.46	100
31.62	96
32.76	93

Cell: 7.2259 7.2259 13.6505 Å, 90.00 90.00 135.54°
Fractional coordinates of all 16 atoms:
Ca 0.1439 0.8561 0.5581
Ca 0.1439 0.8561 0.9419
Ca 0.8561 0.1439 0.0581
Ca 0.8561 0.1439 0.4419
In 0.4350 0.5650 0.7500
In 0.5650 0.4350 0.2500
Cl 0.0491 0.9509 0.1201
Cl 0.0491 0.9509 0.3799
Cl 0.2130 0.7870 0.7500
Cl 0.3310 0.6690 0.0339
Cl 0.3310 0.6690 0.4661
Cl 0.6690 0.3310 0.5339
Cl 0.6690 0.3310 0.9661
Cl 0.7870 0.2130 0.2500
Cl 0.9509 0.0491 0.6201
Cl 0.9509 0.0491 0.8799

=====

(2)
The following is a computed powder X-ray diffraction pattern of Ca3In5Cl12. It was derived from a DFT-relaxed cell (GGA-PBE, Alexandria), using Cu Kα.
Intensities are scaled so that the largest is 100.

Principal peaks in the range 10° ≤ 2θ ≤ 80°, low angle first:
2θ (°)	I/Imax
24.25	72
25.48	51
30.29	100
32.47	75
35.49	93
43.44	43

Cell: 12.7125 12.7125 4.1847 Å, 90.00 90.00 120.00°
Fractional coordinates of all 20 atoms:
Ca 0.0000 0.3278 0.0000
Ca 0.3278 0.0000 0.0000
Ca 0.6722 0.6722 0.0000
In 0.0000 0.7080 0.5000
In 0.2920 0.2920 0.5000
In 0.3333 0.6667 0.5000
In 0.6667 0.3333 0.5000
In 0.7080 0.0000 0.5000
Cl 0.0000 0.1855 0.5000
Cl 0.0000 0.4684 0.5000
Cl 0.1855 0.0000 0.5000
Cl 0.1995 0.7483 0.0000
Cl 0.2517 0.4511 0.0000
Cl 0.4511 0.2517 0.0000
Cl 0.4684 0.0000 0.5000
Cl 0.5316 0.5316 0.5000
Cl 0.5489 0.8005 0.0000
Cl 0.7483 0.1995 0.0000
Cl 0.8005 0.5489 0.0000
Cl 0.8145 0.8145 0.5000